Simulated powder X-ray diffraction pattern of Cs2LiTm2W4O16 for Cu Ka, from a crystal structure in Alexandria, relaxed with PBE+U.
Kinematic intensities with the Lorentz-polarization factor, no thermal factor.

Crystal structure
```
data_Cs2LiTm2W4O16
_chemical_formula_sum 'Cs2 Li1 Tm2 W4 O16'
_symmetry_space_group_name_H-M 'P 1'
_symmetry_Int_Tables_number 1
_cell_length_a 7.5047
_cell_length_b 7.5238
_cell_length_c 7.8607
_cell_angle_alpha 90.33
_cell_angle_beta 116.49
_cell_angle_gamma 116.78
loop_
_symmetry_equiv_pos_as_xyz
'x,y,z'
loop_
_atom_site_label
_atom_site_type_symbol
_atom_site_fract_x
_atom_site_fract_y
_atom_site_fract_z
Cs1 Cs 0.0000 0.0000 0.0000
Cs2 Cs 0.4859 0.4323 0.5814
Li1 Li 0.6515 0.2779 0.8762
Tm1 Tm 0.0076 0.4586 0.6113
Tm2 Tm 0.4884 0.9488 0.0226
W1 W 0.0652 0.5104 0.1379
W2 W 0.4652 0.9213 0.4984
W3 W 0.5557 0.5214 0.1059
W4 W 0.9648 0.9069 0.5063
O1 O 0.0530 0.1778 0.5887
O2 O 0.1182 0.8330 0.7327
O3 O 0.1916 0.9735 0.4341
O4 O 0.2204 0.6274 0.4477
O5 O 0.3050 0.8152 0.1940
O6 O 0.3253 0.4559 0.1804
O7 O 0.3931 0.6033 0.8867
O8 O 0.4550 0.2440 0.0159
O9 O 0.5452 0.9977 0.7605
O10 O 0.6381 0.1740 0.4678
O11 O 0.6905 0.8454 0.5558
O12 O 0.7236 0.8456 0.2262
O13 O 0.7878 0.5833 0.3926
O14 O 0.8071 0.5816 0.0550
O15 O 0.8625 0.2546 0.1480
O16 O 0.9497 0.4451 0.8562
```

Most intense lines, 10 to 90 degrees two-theta, most intense first:
two_theta  I (rel.)
26.2  100
29.1  82
27.5  79
28.7  76
30.9  57
32.9  37
33.3  35
32.8  25
48.7  21
27.8  19